Structure and theoretical X-ray diffraction stick pattern of Al2Zn3Ga3 (a DFT-relaxed cell (PBE, Alexandria); Cu Ka).
Neutral-atom scattering factors, no anomalous dispersion.

Structure:
Lattice parameters (Å, degrees): 3.9009 4.1963 8.5685 78.24 78.85 89.78
Space group P-1 (No. 2)
Inequivalent atoms, fractional coordinates:
Al (0.2498, 0.2480, 0.0002) x2
Zn (0.3579, 0.8352, 0.7557) x2
Zn (0.5000, 0.5000, 0.5000) x1
Ga (0.0000, 0.0000, 0.5000) x1
Ga (0.1393, 0.6551, 0.2494) x2

Top 8 peaks for 10° ≤ 2θ ≤ 80°, sorted by position:
- 8.225 Å, 2θ 10.76, I 556, hkl 0 0 1
- 2.411 Å, 2θ 37.29, I 1000, hkl 1 1 -1
- 2.346 Å, 2θ 38.36, I 973, hkl 1 -1 2
- 2.340 Å, 2θ 38.47, I 978, hkl -1 1 2
- 2.287 Å, 2θ 39.39, I 882, hkl 1 1 3
- 2.096 Å, 2θ 43.16, I 633, hkl 0 2 1
- 2.056 Å, 2θ 44.04, I 661, hkl 0 0 4
- 1.949 Å, 2θ 46.60, I 549, hkl 2 0 1

***

Structure and theoretical X-ray diffraction stick pattern of InPd3Pb3 (a DFT-relaxed cell (PBE, Alexandria); Cu Ka).
Neutral-atom scattering factors, no anomalous dispersion.

Structure:
Lattice parameters (Å, degrees): 8.5364 10.2246 7.3909 90.00 90.97 90.00
Space group C2/m (No. 12)
Inequivalent atoms, fractional coordinates:
In (0.2491, 0.0000, 0.3580) x4
Pd (0.0796, 0.0000, 0.6801) x4
Pd (0.2438, 0.2525, 0.7906) x8
Pb (0.0000, 0.1593, 0.0000) x4
Pb (0.0000, 0.2517, 0.5000) x4
Pb (0.1071, 0.5000, 0.1789) x4

Top 8 peaks for 10° ≤ 2θ ≤ 80°, sorted by position:
- 3.201 Å, 2θ 27.87, I 358, hkl 1 1 2
- 3.009 Å, 2θ 29.69, I 381, hkl 2 2 -1
- 2.916 Å, 2θ 30.66, I 441, hkl 1 3 -1
- 2.817 Å, 2θ 31.77, I 755, hkl 2 0 -2
- 2.556 Å, 2θ 35.11, I 1000, hkl 0 4 0
- 2.436 Å, 2θ 36.90, I 960, hkl 2 2 2
- 2.102 Å, 2θ 43.03, I 424, hkl 3 3 -1
- 1.550 Å, 2θ 59.66, I 364, hkl 2 6 -1

***

Structure and theoretical X-ray diffraction stick pattern of Cs2KAg (a DFT-relaxed cell (PBE, Alexandria); Cu Ka).
Neutral-atom scattering factors, no anomalous dispersion.

Structure:
Lattice parameters (Å, degrees): 13.5648 8.6612 5.0139 90.00 111.47 90.00
Space group C2 (No. 5)
Inequivalent atoms, fractional coordinates:
Cs (0.1813, 0.0000, 0.1807) x4
K (0.0000, 0.5051, 0.0000) x2
Ag (0.0000, 0.7822, 0.5000) x2

Top 8 peaks for 10° ≤ 2θ ≤ 80°, sorted by position:
- 7.142 Å, 2θ 12.39, I 536, hkl 1 1 0
- 4.337 Å, 2θ 20.48, I 602, hkl 1 1 -1
- 3.785 Å, 2θ 23.51, I 523, hkl 3 1 0
- 3.574 Å, 2θ 24.91, I 1000, hkl 3 1 -1
- 3.229 Å, 2θ 27.62, I 211, hkl 2 0 1
- 3.172 Å, 2θ 28.13, I 522, hkl 0 2 1
- 2.504 Å, 2θ 35.86, I 356, hkl 2 0 -2
- 2.381 Å, 2θ 37.79, I 234, hkl 3 3 0

***

Structure and theoretical X-ray diffraction stick pattern of Rb3CaPb2Cl9 (a DFT-relaxed cell (PBE, Alexandria); Cu Ka).
Neutral-atom scattering factors, no anomalous dispersion.

Structure:
Lattice parameters (Å, degrees): 7.9044 7.9044 9.8472 90.00 90.00 120.00
Space group P-3m1 (No. 164)
Inequivalent atoms, fractional coordinates:
Rb (0.0000, 0.0000, 0.0000) x1
Rb (0.3333, 0.6667, 0.6340) x2
Ca (0.0000, 0.0000, 0.5000) x1
Pb (0.3333, 0.6667, 0.1696) x2
Cl (0.0000, 0.5000, 0.0000) x3
Cl (0.1638, 0.3276, 0.3438) x6

Top 8 peaks for 10° ≤ 2θ ≤ 80°, sorted by position:
- 5.621 Å, 2θ 15.77, I 634, hkl 1 0 1
- 3.997 Å, 2θ 22.24, I 845, hkl 0 1 2
- 3.952 Å, 2θ 22.50, I 776, hkl 1 1 0
- 2.810 Å, 2θ 31.84, I 1000, hkl 2 0 2
- 2.290 Å, 2θ 39.34, I 398, hkl 1 2 2
- 1.999 Å, 2θ 45.38, I 310, hkl 0 2 4
- 1.976 Å, 2θ 45.92, I 339, hkl 2 2 0
- 1.771 Å, 2θ 51.60, I 189, hkl 3 1 2

***

Structure and theoretical X-ray diffraction stick pattern of NaInPtAu2 (a DFT-relaxed cell (PBE, Alexandria); Cu Ka).
Neutral-atom scattering factors, no anomalous dispersion.

Structure:
Lattice parameters (Å, degrees): 5.2649 5.2649 5.0465 90.00 90.00 90.00
Space group P4/mmm (No. 123)
Inequivalent atoms, fractional coordinates:
Na (0.0000, 0.0000, 0.0000) x1
In (0.5000, 0.5000, 0.0000) x1
Pt (0.5000, 0.5000, 0.5000) x1
Au (0.0000, 0.5000, 0.5000) x2

Top 8 peaks for 10° ≤ 2θ ≤ 80°, sorted by position:
- 5.265 Å, 2θ 16.84, I 842, hkl 1 0 0
- 5.047 Å, 2θ 17.57, I 909, hkl 0 0 1
- 2.996 Å, 2θ 29.82, I 639, hkl 1 1 1
- 2.632 Å, 2θ 34.06, I 1000, hkl 2 0 0
- 2.523 Å, 2θ 35.58, I 445, hkl 0 0 2
- 2.334 Å, 2θ 38.57, I 538, hkl 2 0 1
- 1.861 Å, 2θ 48.93, I 363, hkl 2 2 0
- 1.822 Å, 2θ 50.08, I 678, hkl 2 0 2